1.
Simulated powder diffractogram
Compound: YHoC5
Radiation: Cu Kα (weighted mean of Kα1 and Kα2)
Structure: a GGA-PBE-relaxed structure

Main lines, in order of rising 2θ (2θ = 10–90°):
two_theta  d [Å]  I (rel.)
25.14  3.542  830
27.09  3.292  274
29.47  3.031  361
37.29  2.411  1000
40.46  2.230  327
41.36  2.183  212
49.73  1.834  187
51.60  1.771  151
57.54  1.602  209
59.24  1.560  211

Structure:
Cell: 4.9784 4.9784 4.9784 Å, 127.99 105.00 97.22°
Positions (direct):
Y 0.0000 0.0000 0.0000
Ho 0.4976 0.4976 0.0000
C 0.0274 0.7446 0.2828
C 0.2474 0.7474 0.5000
C 0.4617 0.7446 0.7172
C 0.6378 0.2461 0.3917
C 0.8544 0.2461 0.6083

---

2.
Simulated powder diffractogram
Compound: TmAlAg2O4
Radiation: Cu Kα (weighted mean of Kα1 and Kα2)
Structure: a GGA-PBE-relaxed structure

Main lines, in order of rising 2θ (2θ = 10–90°):
two_theta  d [Å]  I (rel.)
21.31  4.170  208
28.54  3.127  513
33.66  2.663  1000
35.95  2.498  980
39.50  2.281  304
49.46  1.843  354
55.50  1.656  369
58.68  1.573  303
66.53  1.406  276
69.35  1.355  145

Structure:
Cell: 3.1468 3.1468 12.5088 Å, 90.00 90.00 120.00°
Positions (direct):
Tm 0.0000 0.0000 0.0000
Al 0.0000 0.0000 0.5000
Ag 0.3333 0.6667 0.2609
Ag 0.6667 0.3333 0.7391
O 0.3333 0.6667 0.0941
O 0.3333 0.6667 0.4292
O 0.6667 0.3333 0.5708
O 0.6667 0.3333 0.9059

---

3.
Simulated powder diffractogram
Compound: CuAuSe2S2
Radiation: Cu Kα (weighted mean of Kα1 and Kα2)
Structure: a GGA-PBE-relaxed structure

Main lines, in order of rising 2θ (2θ = 10–90°):
two_theta  d [Å]  I (rel.)
11.05  8.006  312
20.34  4.366  342
22.72  3.913  497
24.41  3.646  243
26.87  3.318  228
31.98  2.799  1000
33.58  2.668  625
46.28  1.962  271
47.81  1.902  306
49.52  1.841  245

Structure:
Cell: 4.3711 7.2929 8.0154 Å, 90.00 92.76 90.00°
Positions (direct):
Cu 0.0022 0.2500 0.1588
Cu 0.9978 0.7500 0.8412
Au 0.5000 0.0000 0.5000
Au 0.5000 0.5000 0.5000
Se 0.3950 0.5015 0.1885
Se 0.3950 0.9985 0.1885
Se 0.6050 0.0015 0.8115
Se 0.6050 0.4985 0.8115
S 0.0898 0.7500 0.1276
S 0.1786 0.7500 0.5749
S 0.8214 0.2500 0.4251
S 0.9102 0.2500 0.8724

---

4.
Simulated powder diffractogram
Compound: PaF4
Radiation: Cu Kα (weighted mean of Kα1 and Kα2)
Structure: a GGA-PBE-relaxed structure

Main lines, in order of rising 2θ (2θ = 10–90°):
two_theta  d [Å]  I (rel.)
24.75  3.597  1000
25.37  3.511  498
36.18  2.483  128
43.20  2.094  279
44.33  2.043  538
50.76  1.798  196
56.02  1.641  142
58.50  1.578  120
68.53  1.369  118
69.92  1.345  126

Structure:
Cell: 4.9655 4.9655 5.2176 Å, 90.00 90.00 90.00°
Positions (direct):
Pa 0.0000 0.0000 0.0000
Pa 0.5000 0.5000 0.5000
F 0.1485 0.2656 0.3372
F 0.2344 0.3515 0.8372
F 0.2656 0.8515 0.6628
F 0.3515 0.7656 0.1628
F 0.6485 0.2344 0.1628
F 0.7344 0.1485 0.6628
F 0.7656 0.6485 0.8372
F 0.8515 0.7344 0.3372

---

5.
Simulated powder diffractogram
Compound: ThZr2
Radiation: Cu Kα (weighted mean of Kα1 and Kα2)
Structure: a GGA-PBE-relaxed structure

Main lines, in order of rising 2θ (2θ = 10–90°):
two_theta  d [Å]  I (rel.)
25.97  3.431  253
31.09  2.877  369
33.19  2.699  457
34.54  2.597  704
35.35  2.539  1000
46.11  1.969  248
54.16  1.693  186
60.70  1.526  209
65.02  1.434  215
67.37  1.390  201

Structure:
Cell: 3.2909 5.3988 17.7740 Å, 90.00 90.00 90.00°
Positions (direct):
Th 0.2500 0.2500 0.1972
Th 0.2500 0.7500 0.3032
Th 0.7500 0.2500 0.6968
Th 0.7500 0.7500 0.8028
Zr 0.2500 0.2500 0.5293
Zr 0.2500 0.2500 0.8772
Zr 0.2500 0.7500 0.6224
Zr 0.2500 0.7500 0.9706
Zr 0.7500 0.2500 0.0294
Zr 0.7500 0.2500 0.3776
Zr 0.7500 0.7500 0.1228
Zr 0.7500 0.7500 0.4707

---

6.
Simulated powder diffractogram
Compound: Sm4CI2BrF2
Radiation: Cu Kα (weighted mean of Kα1 and Kα2)
Structure: a GGA-PBE-relaxed structure

Main lines, in order of rising 2θ (2θ = 10–90°):
two_theta  d [Å]  I (rel.)
10.04  8.811  338
11.05  8.004  946
23.85  3.732  285
29.44  3.034  221
30.42  2.938  632
32.39  2.764  1000
34.51  2.599  302
35.67  2.517  233
42.62  2.121  294
47.26  1.923  229

Structure:
Cell: 9.0484 9.0484 8.0310 Å, 94.63 94.63 24.55°
Positions (direct):
Sm 0.0037 0.0037 0.2933
Sm 0.3625 0.3625 0.4344
Sm 0.6375 0.6375 0.5656
Sm 0.9963 0.9963 0.7067
C 0.5000 0.5000 0.5000
I 0.1819 0.1819 0.2779
I 0.8181 0.8181 0.7221
Br 0.5000 0.5000 0.0000
F 0.1326 0.1326 0.7391
F 0.8674 0.8674 0.2609

---

7.
Simulated powder diffractogram
Compound: HoPbAuSeS2
Radiation: Cu Kα (weighted mean of Kα1 and Kα2)
Structure: a GGA-PBE-relaxed structure

Main lines, in order of rising 2θ (2θ = 10–90°):
two_theta  d [Å]  I (rel.)
16.48  5.380  323
28.45  3.138  298
30.96  2.888  1000
33.31  2.690  416
34.24  2.619  348
39.16  2.301  454
43.74  2.069  348
44.96  2.016  202
52.33  1.748  257
64.53  1.444  194

Structure:
Cell: 7.0228 7.0228 10.7607 Å, 90.00 90.00 146.63°
Positions (direct):
Ho 0.0000 0.0000 0.0000
Ho 0.0000 0.0000 0.5000
Pb 0.2443 0.7557 0.7500
Pb 0.7557 0.2443 0.2500
Au 0.4390 0.5610 0.2500
Au 0.5610 0.4390 0.7500
Se 0.0886 0.9114 0.2500
Se 0.9114 0.0886 0.7500
S 0.3650 0.6350 0.0454
S 0.3650 0.6350 0.4546
S 0.6350 0.3650 0.5454
S 0.6350 0.3650 0.9546

---

8.
Simulated powder diffractogram
Compound: Nb5B6
Radiation: Cu Kα (weighted mean of Kα1 and Kα2)
Structure: a GGA-PBE-relaxed structure

Main lines, in order of rising 2θ (2θ = 10–90°):
two_theta  d [Å]  I (rel.)
28.03  3.184  489
34.45  2.604  1000
39.39  2.287  280
41.16  2.193  975
41.72  2.165  677
55.44  1.657  182
58.28  1.583  156
66.93  1.398  282
67.09  1.395  285
74.20  1.278  233

Structure:
Cell: 11.5454 11.5454 3.3147 Å, 90.00 90.00 164.24°
Positions (direct):
Nb 0.0000 0.0000 0.0000
Nb 0.1944 0.8056 0.5000
Nb 0.3857 0.6143 0.0000
Nb 0.6143 0.3857 0.0000
Nb 0.8056 0.1944 0.5000
B 0.0818 0.9182 0.5000
B 0.2725 0.7275 0.0000
B 0.4603 0.5397 0.5000
B 0.5397 0.4603 0.5000
B 0.7275 0.2725 0.0000
B 0.9182 0.0818 0.5000

---

9.
Simulated powder diffractogram
Compound: PrAlNO
Radiation: Cu Kα (weighted mean of Kα1 and Kα2)
Structure: a GGA-PBE-relaxed structure

Main lines, in order of rising 2θ (2θ = 10–90°):
two_theta  d [Å]  I (rel.)
22.14  4.015  574
25.77  3.457  256
29.94  2.985  397
33.00  2.714  301
34.24  2.619  1000
39.93  2.258  217
42.34  2.135  226
45.17  2.007  287
55.98  1.643  153
59.74  1.548  208

Structure:
Cell: 3.4566 5.9647 5.4281 Å, 90.00 90.00 90.00°
Positions (direct):
Pr 0.0000 0.2144 0.0000
Pr 0.0000 0.7856 0.5000
Al 0.5000 0.2985 0.5001
Al 0.5000 0.7015 0.0001
N 0.0000 0.1747 0.4982
N 0.0000 0.8253 0.9982
O 0.5000 0.4966 0.7533
O 0.5000 0.5034 0.2533

---

10.
Simulated powder diffractogram
Compound: Zn2GeO4
Radiation: Cu Kα (weighted mean of Kα1 and Kα2)
Structure: a GGA-PBE-relaxed structure

Main lines, in order of rising 2θ (2θ = 10–90°):
two_theta  d [Å]  I (rel.)
12.41  7.130  185
21.59  4.117  244
24.98  3.565  560
30.68  2.914  788
33.24  2.695  1000
37.83  2.378  562
47.70  1.906  406
63.94  1.456  431
66.89  1.399  234
68.29  1.373  229

Structure:
Cell: 8.8308 8.8308 8.8308 Å, 107.69 107.69 107.69°
Positions (direct):
Zn 0.1081 0.8714 0.2718
Zn 0.1286 0.7282 0.8919
Zn 0.2018 0.6071 0.4440
Zn 0.2718 0.1081 0.8714
Zn 0.3929 0.5560 0.7982
Zn 0.4440 0.2018 0.6071
Zn 0.5560 0.7982 0.3929
Zn 0.6071 0.4440 0.2018
Zn 0.7282 0.8919 0.1286
Zn 0.7982 0.3929 0.5560
Zn 0.8714 0.2718 0.1081
Zn 0.8919 0.1286 0.7282
Ge 0.0562 0.2286 0.4656
Ge 0.2286 0.4656 0.0562
Ge 0.4656 0.0562 0.2286
Ge 0.5344 0.9438 0.7714
Ge 0.7714 0.5344 0.9438
Ge 0.9438 0.7714 0.5344
O 0.0104 0.3063 0.9732
O 0.0268 0.9896 0.6937
O 0.0370 0.3617 0.3525
O 0.0745 0.7517 0.4202
O 0.2483 0.5798 0.9255
O 0.2803 0.3129 0.6138
O 0.3063 0.9732 0.0104
O 0.3129 0.6138 0.2803
O 0.3525 0.0370 0.3617
O 0.3617 0.3525 0.0370
O 0.3862 0.7197 0.6871
O 0.4202 0.0745 0.7517
O 0.5798 0.9255 0.2483
O 0.6138 0.2803 0.3129
O 0.6383 0.6475 0.9630
O 0.6475 0.9630 0.6383
O 0.6871 0.3862 0.7197
O 0.6937 0.0268 0.9896
O 0.7197 0.6871 0.3862
O 0.7517 0.4202 0.0745
O 0.9255 0.2483 0.5798
O 0.9630 0.6383 0.6475
O 0.9732 0.0104 0.3063
O 0.9896 0.6937 0.0268